Record 1
For ErZnGe, the PBE geometry in the Materials Project gives the theoretical PXRD pattern in this record (a wavelength of 1.5418 Å).
Lines closer than 0.1° are merged.

Structural model:
abc: 4.2326 4.2326 15.3072
angles: 90.00 90.00 120.00
Element x y z (fractional)
Er 0.0000 0.0000 0.0000
Er 0.0000 0.0000 0.2500
Er 0.0000 0.0000 0.5000
Er 0.0000 0.0000 0.7500
Zn 0.3333 0.6667 0.1476
Zn 0.3333 0.6667 0.3524
Zn 0.6667 0.3333 0.6476
Zn 0.6667 0.3333 0.8524
Ge 0.3333 0.6667 0.6120
Ge 0.3333 0.6667 0.8880
Ge 0.6667 0.3333 0.1120
Ge 0.6667 0.3333 0.3880

Top 8 peaks for 15 to 90 degrees two-theta, in order of falling intensity:
33.86°, I = 100
42.73°, I = 48
55.60°, I = 24
72.57°, I = 22
24.28°, I = 18
65.80°, I = 18
78.24°, I = 8
47.52°, I = 8

=====

Record 2
For Li3Ti2Cu3O10, the PBE geometry in the Materials Project gives the theoretical PXRD pattern in this record (a wavelength of 1.5418 Å).
Lines closer than 0.1° are merged.

Structural model:
abc: 5.1324 5.3164 7.7291
angles: 108.38 98.15 104.26
Element x y z (fractional)
Li 0.0000 0.0000 0.0000
Li 0.2925 0.5897 0.1150
Li 0.7075 0.4103 0.8850
Ti 0.3766 0.8016 0.8104
Ti 0.6234 0.1984 0.1896
Cu 0.2035 0.3755 0.4084
Cu 0.5000 0.0000 0.5000
Cu 0.7965 0.6245 0.5916
O 0.0293 0.6477 0.8361
O 0.1848 0.7647 0.5480
O 0.2979 0.0217 0.2879
O 0.3997 0.1848 0.9682
O 0.4527 0.4486 0.6563
O 0.5473 0.5514 0.3437
O 0.6003 0.8152 0.0318
O 0.7021 0.9783 0.7121
O 0.8152 0.2353 0.4520
O 0.9707 0.3523 0.1639

Top 8 peaks for 15 to 90 degrees two-theta, in order of falling intensity:
18.14°, I = 100
41.56°, I = 61
41.83°, I = 58
45.25°, I = 49
18.37°, I = 38
36.30°, I = 32
27.34°, I = 27
36.80°, I = 23

=====

Record 3
For TiF3, the PBE geometry in the Materials Project gives the theoretical PXRD pattern in this record (a wavelength of 1.5418 Å).
Lines closer than 0.1° are merged.

Structural model:
abc: 5.5851 5.5851 5.5851
angles: 59.62 59.62 59.62
Element x y z (fractional)
Ti 0.0000 0.0000 0.0000
Ti 0.5000 0.5000 0.5000
F 0.2291 0.7500 0.2709
F 0.2500 0.7291 0.7709
F 0.2709 0.2291 0.7500
F 0.7291 0.7709 0.2500
F 0.7500 0.2709 0.2291
F 0.7709 0.2500 0.7291

Top 8 peaks for 15 to 90 degrees two-theta, in order of falling intensity:
22.58°, I = 100
46.10°, I = 30
51.79°, I = 17
52.05°, I = 16
67.03°, I = 8
67.46°, I = 7
32.05°, I = 7
32.24°, I = 6

=====

Record 4
For Dy5Ti5O17, the PBE geometry in the Materials Project gives the theoretical PXRD pattern in this record (a wavelength of 1.5418 Å).
Lines closer than 0.1° are merged.

Structural model:
abc: 3.8587 5.4424 31.6489
angles: 90.00 90.00 90.00
Element x y z (fractional)
Dy 0.0000 0.1734 0.0000
Dy 0.0000 0.2342 0.2220
Dy 0.0000 0.3269 0.4456
Dy 0.0000 0.7019 0.3198
Dy 0.0000 0.7821 0.1272
Dy 0.5000 0.2179 0.6272
Dy 0.5000 0.2981 0.8198
Dy 0.5000 0.6731 0.9456
Dy 0.5000 0.7658 0.7220
Dy 0.5000 0.8266 0.5000
Ti 0.0000 0.2187 0.8981
Ti 0.0000 0.2416 0.7249
Ti 0.0000 0.2722 0.5477
Ti 0.0000 0.7406 0.6344
Ti 0.0000 0.7459 0.8113
Ti 0.5000 0.2541 0.3113
Ti 0.5000 0.2594 0.1344
Ti 0.5000 0.7278 0.0477
Ti 0.5000 0.7584 0.2249
Ti 0.5000 0.7813 0.3981
O 0.0000 0.0462 0.8415
O 0.0000 0.0488 0.4983
O 0.0000 0.0492 0.6700
O 0.0000 0.2835 0.3006
O 0.0000 0.2893 0.1453
O 0.0000 0.3978 0.7792
O 0.0000 0.4219 0.6054
O 0.0000 0.4458 0.9475
O 0.0000 0.5258 0.8571
O 0.0000 0.5422 0.6953
O 0.0000 0.5425 0.5108
O 0.0000 0.7356 0.3931
O 0.0000 0.7803 0.0541
O 0.0000 0.8010 0.2262
O 0.0000 0.9013 0.7535
O 0.0000 0.9491 0.5893
O 0.0000 0.9487 0.9360
O 0.5000 0.0509 0.0893
O 0.5000 0.0513 0.4360
O 0.5000 0.0987 0.2535
O 0.5000 0.1990 0.7262
O 0.5000 0.2197 0.5541
O 0.5000 0.2644 0.8931
O 0.5000 0.4575 0.0108
O 0.5000 0.4578 0.1953
O 0.5000 0.4742 0.3571
O 0.5000 0.5542 0.4475
O 0.5000 0.5781 0.1054
O 0.5000 0.6022 0.2792
O 0.5000 0.7107 0.6453
O 0.5000 0.7165 0.8006
O 0.5000 0.9508 0.1700
O 0.5000 0.9512 0.9983
O 0.5000 0.9538 0.3415

Top 8 peaks for 15 to 90 degrees two-theta, in order of falling intensity:
30.56°, I = 100
21.53°, I = 49
33.14°, I = 31
34.51°, I = 31
47.10°, I = 29
32.91°, I = 28
28.20°, I = 27
43.91°, I = 21

=====

Record 5
For CaZrO3, the PBE geometry in the Materials Project gives the theoretical PXRD pattern in this record (a wavelength of 1.5418 Å).
Lines closer than 0.1° are merged.

Structural model:
abc: 5.8318 11.4571 8.1236
angles: 90.00 90.00 90.00
Element x y z (fractional)
Ca 0.2358 0.1121 0.0000
Ca 0.2494 0.1381 0.5005
Ca 0.2506 0.6381 0.5005
Ca 0.2642 0.6121 0.0000
Ca 0.7358 0.3879 0.0000
Ca 0.7494 0.3619 0.5005
Ca 0.7506 0.8619 0.5005
Ca 0.7642 0.8879 0.0000
Zr 0.2475 0.3748 0.7498
Zr 0.2499 0.3751 0.2497
Zr 0.2501 0.8751 0.2497
Zr 0.2525 0.8748 0.7498
Zr 0.7475 0.1252 0.7498
Zr 0.7499 0.1249 0.2497
Zr 0.7501 0.6249 0.2497
Zr 0.7525 0.6252 0.7498
O 0.0000 0.0000 0.1829
O 0.0000 0.0000 0.8109
O 0.0000 0.5000 0.1828
O 0.0000 0.5000 0.8184
O 0.0012 0.7495 0.6824
O 0.0121 0.2454 0.3140
O 0.2318 0.8155 0.9986
O 0.2499 0.4340 0.4988
O 0.2501 0.9340 0.4988
O 0.2682 0.3155 0.9986
O 0.4879 0.7454 0.3140
O 0.4988 0.2495 0.6824
O 0.5000 0.0000 0.1828
O 0.5000 0.0000 0.8184
O 0.5000 0.5000 0.1829
O 0.5000 0.5000 0.8109
O 0.5012 0.7505 0.6824
O 0.5121 0.2546 0.3140
O 0.7318 0.6845 0.9986
O 0.7499 0.0660 0.4988
O 0.7501 0.5660 0.4988
O 0.7682 0.1845 0.9986
O 0.9879 0.7546 0.3140
O 0.9988 0.2505 0.6824

Top 8 peaks for 15 to 90 degrees two-theta, in order of falling intensity:
31.04°, I = 100
55.46°, I = 34
21.75°, I = 34
44.33°, I = 33
30.66°, I = 24
54.75°, I = 19
31.23°, I = 17
55.11°, I = 14

=====

Record 6
For Al3Ru2, the PBE geometry in the Materials Project gives the theoretical PXRD pattern in this record (a wavelength of 1.5418 Å).
Lines closer than 0.1° are merged.

Structural model:
abc: 7.4920 7.4920 7.4920
angles: 156.08 156.08 34.08
Element x y z (fractional)
Al 0.0000 0.0000 0.0000
Al 0.1935 0.1935 0.0000
Al 0.8065 0.8065 0.0000
Ru 0.3937 0.3937 0.0000
Ru 0.6063 0.6063 0.0000

Top 8 peaks for 15 to 90 degrees two-theta, in order of falling intensity:
42.95°, I = 100
41.11°, I = 59
29.43°, I = 48
76.19°, I = 36
24.86°, I = 31
48.64°, I = 19
59.55°, I = 19
79.96°, I = 14

=====

Record 7
For NaAlP2O7, the PBE geometry in the Materials Project gives the theoretical PXRD pattern in this record (a wavelength of 1.5418 Å).
Lines closer than 0.1° are merged.

Structural model:
abc: 7.2837 7.8146 9.4116
angles: 90.00 111.66 90.00
Element x y z (fractional)
Na 0.2096 0.0259 0.2030
Na 0.2096 0.4741 0.7030
Na 0.7904 0.5259 0.2970
Na 0.7904 0.9741 0.7970
Al 0.2399 0.0104 0.7527
Al 0.2399 0.4896 0.2527
Al 0.7601 0.5104 0.7473
Al 0.7601 0.9896 0.2473
P 0.1698 0.7071 0.9526
P 0.1698 0.7929 0.4526
P 0.4286 0.2445 0.0498
P 0.4286 0.2555 0.5498
P 0.5714 0.7445 0.4502
P 0.5714 0.7555 0.9502
P 0.8302 0.2071 0.5474
P 0.8302 0.2929 0.0474
O 0.0231 0.5859 0.8410
O 0.0231 0.9141 0.3410
O 0.1426 0.6051 0.3993
O 0.1426 0.8949 0.8993
O 0.1854 0.6909 0.1182
O 0.1854 0.8091 0.6182
O 0.3093 0.2068 0.8820
O 0.3093 0.2932 0.3820
O 0.3145 0.1381 0.6146
O 0.3145 0.3619 0.1146
O 0.3770 0.6457 0.9392
O 0.3770 0.8543 0.4392
O 0.4981 0.5827 0.3533
O 0.4981 0.9173 0.8533
O 0.5019 0.0827 0.1467
O 0.5019 0.4173 0.6467
O 0.6230 0.1457 0.5608
O 0.6230 0.3543 0.0608
O 0.6855 0.6381 0.8854
O 0.6855 0.8619 0.3854
O 0.6907 0.7068 0.6180
O 0.6907 0.7932 0.1180
O 0.8146 0.1909 0.3818
O 0.8146 0.3091 0.8818
O 0.8574 0.1051 0.1007
O 0.8574 0.3949 0.6007
O 0.9769 0.0859 0.6590
O 0.9769 0.4141 0.1590

Top 8 peaks for 15 to 90 degrees two-theta, in order of falling intensity:
30.69°, I = 100
28.74°, I = 68
23.31°, I = 56
29.08°, I = 47
26.36°, I = 39
17.47°, I = 25
39.97°, I = 18
30.34°, I = 17

=====

Copy entry 7 word for word.
For NaAlP2O7, the PBE geometry in the Materials Project gives the theoretical PXRD pattern in this record (a wavelength of 1.5418 Å).
Lines closer than 0.1° are merged.

Structural model:
abc: 7.2837 7.8146 9.4116
angles: 90.00 111.66 90.00
Element x y z (fractional)
Na 0.2096 0.0259 0.2030
Na 0.2096 0.4741 0.7030
Na 0.7904 0.5259 0.2970
Na 0.7904 0.9741 0.7970
Al 0.2399 0.0104 0.7527
Al 0.2399 0.4896 0.2527
Al 0.7601 0.5104 0.7473
Al 0.7601 0.9896 0.2473
P 0.1698 0.7071 0.9526
P 0.1698 0.7929 0.4526
P 0.4286 0.2445 0.0498
P 0.4286 0.2555 0.5498
P 0.5714 0.7445 0.4502
P 0.5714 0.7555 0.9502
P 0.8302 0.2071 0.5474
P 0.8302 0.2929 0.0474
O 0.0231 0.5859 0.8410
O 0.0231 0.9141 0.3410
O 0.1426 0.6051 0.3993
O 0.1426 0.8949 0.8993
O 0.1854 0.6909 0.1182
O 0.1854 0.8091 0.6182
O 0.3093 0.2068 0.8820
O 0.3093 0.2932 0.3820
O 0.3145 0.1381 0.6146
O 0.3145 0.3619 0.1146
O 0.3770 0.6457 0.9392
O 0.3770 0.8543 0.4392
O 0.4981 0.5827 0.3533
O 0.4981 0.9173 0.8533
O 0.5019 0.0827 0.1467
O 0.5019 0.4173 0.6467
O 0.6230 0.1457 0.5608
O 0.6230 0.3543 0.0608
O 0.6855 0.6381 0.8854
O 0.6855 0.8619 0.3854
O 0.6907 0.7068 0.6180
O 0.6907 0.7932 0.1180
O 0.8146 0.1909 0.3818
O 0.8146 0.3091 0.8818
O 0.8574 0.1051 0.1007
O 0.8574 0.3949 0.6007
O 0.9769 0.0859 0.6590
O 0.9769 0.4141 0.1590

Top 8 peaks for 15 to 90 degrees two-theta, in order of falling intensity:
30.69°, I = 100
28.74°, I = 68
23.31°, I = 56
29.08°, I = 47
26.36°, I = 39
17.47°, I = 25
39.97°, I = 18
30.34°, I = 17